Entry 1:
# CdIr15
Simulated XRD peak list, Cu Kα. Input: the PBE geometry in OQMD.
Intensities are scaled so that the largest is 1000.

Top 10 peaks for 2θ = 5–70°, by angle:
2θ 7.41, I = 181, (0 3 0); 2θ 9.88, I = 124, (0 4 0); 2θ 38.13, I = 172, (1 12 -1); 2θ 40.24, I = 649, (1 13 -1); 2θ 40.50, I = 1000, (2 0 0); 2θ 42.41, I = 176, (1 14 -1); 2θ 46.86, I = 430, (1 13 1); 2θ 47.13, I = 326, (2 0 -2); 2θ 48.80, I = 118, (1 14 1); 2θ 68.63, I = 273, (3 13 -1)

Structural model:
```
data_CdIr15
_chemical_formula_sum 'Cd2 Ir30'
_space_group_name_H-M_alt 'P 1 2/c 1'
_space_group_IT_number 13
_cell_length_a 4.727
_cell_length_b 35.795
_cell_length_c 4.726
_cell_angle_alpha 90.00
_cell_angle_beta 109.43
_cell_angle_gamma 90.00
loop_
_space_group_symop_operation_xyz
'x,y,z'
'-x,-y,-z'
'-x,y,-z+1/2'
'x,-y,z+1/2'
loop_
_atom_site_label
_atom_site_type_symbol
_atom_site_fract_x
_atom_site_fract_y
_atom_site_fract_z
Cd1 Cd 0.000 0.202 0.250
Ir1 Ir 0.000 0.251 0.750
Ir2 Ir 0.000 0.290 0.250
Ir3 Ir 0.000 0.328 0.750
Ir4 Ir 0.000 0.366 0.250
Ir5 Ir 0.000 0.404 0.750
Ir6 Ir 0.000 0.442 0.250
Ir7 Ir 0.000 0.481 0.750
Ir8 Ir 0.500 0.217 0.750
Ir9 Ir 0.500 0.251 0.250
Ir10 Ir 0.500 0.290 0.750
Ir11 Ir 0.500 0.328 0.250
Ir12 Ir 0.500 0.365 0.750
Ir13 Ir 0.500 0.404 0.250
Ir14 Ir 0.500 0.443 0.750
Ir15 Ir 0.500 0.481 0.250
```

---

Entry 2:
# Nd4CCl2F3
Simulated XRD peak list, Cu Kα. Input: the PBE geometry in OQMD.
Intensities are scaled so that the largest is 1000.

Top 10 peaks for 2θ = 5–70°, by angle:
2θ 13.08, I = 353, (0 0 1); 2θ 23.64, I = 585, (4 0 -1); 2θ 27.49, I = 545, (1 1 -1); 2θ 30.13, I = 1000, (3 1 0); 2θ 30.25, I = 337, (4 0 -2); 2θ 34.95, I = 387, (3 1 1); 2θ 35.35, I = 704, (1 1 -2); 2θ 35.71, I = 502, (6 0 0); 2θ 36.92, I = 711, (3 1 -2); 2θ 47.56, I = 418, (7 1 -1)

Structural model:
```
data_Nd4CCl2F3
_chemical_formula_sum 'Nd8 C2 Cl4 F6'
_space_group_name_H-M_alt 'C 1 2/m 1'
_space_group_IT_number 12
_cell_length_a 15.692
_cell_length_b 3.672
_cell_length_c 7.039
_cell_angle_alpha 90.00
_cell_angle_beta 105.96
_cell_angle_gamma 90.00
loop_
_space_group_symop_operation_xyz
'x,y,z'
'-x,-y,-z'
'-x,y,-z'
'x,-y,z'
'x+1/2,y+1/2,z'
'-x+1/2,-y+1/2,-z'
'-x+1/2,y+1/2,-z'
'x+1/2,-y+1/2,z'
loop_
_atom_site_label
_atom_site_type_symbol
_atom_site_fract_x
_atom_site_fract_y
_atom_site_fract_z
Nd1 Nd 0.024 0.000 0.271
Nd2 Nd 0.165 0.500 0.659
C1 C 0.000 0.500 0.500
Cl1 Cl 0.157 0.000 0.963
F1 F 0.000 0.500 0.000
F2 F 0.185 0.000 0.431
```

---

Entry 3:
# LaPr2Zn2Si4Pd2
Simulated XRD peak list, Cu Kα. Input: the PBE geometry in OQMD.
Intensities are scaled so that the largest is 1000.

Top 10 peaks for 2θ = 5–70°, by angle:
2θ 23.37, I = 175, (0 1 3); 2θ 32.91, I = 363, (1 0 7); 2θ 33.22, I = 1000, (1 1 4); 2θ 38.52, I = 134, (0 1 9); 2θ 42.30, I = 211, (0 2 0); 2θ 43.35, I = 197, (2 0 0); 2θ 45.00, I = 188, (0 1 11); 2θ 54.61, I = 170, (1 2 7); 2θ 62.18, I = 132, (2 2 0); 2θ 64.26, I = 129, (2 1 11)

Structural model:
```
data_LaPr2Zn2Si4Pd2
_chemical_formula_sum 'La2 Pr4 Zn4 Si8 Pd4'
_space_group_name_H-M_alt 'I m m m'
_space_group_IT_number 71
_space_group_name_Hall '-I 2 2'
_cell_length_a 4.174
_cell_length_b 4.273
_cell_length_c 25.129
_cell_angle_alpha 90.00
_cell_angle_beta 90.00
_cell_angle_gamma 90.00
loop_
_atom_site_label
_atom_site_type_symbol
_atom_site_fract_x
_atom_site_fract_y
_atom_site_fract_z
La1 La 0.000 0.000 0.000
Pr1 Pr 0.000 0.500 0.147
Zn1 Zn 0.000 0.000 0.250
Si1 Si 0.000 0.000 0.452
Si2 Si 0.000 0.500 0.309
Pd1 Pd 0.000 0.500 0.405
```

---

Entry 4:
# Y2Hf4Ge3C3
Simulated XRD peak list, Cu Kα. Input: the PBE geometry in OQMD.
Intensities are scaled so that the largest is 1000.

Top 10 peaks for 2θ = 5–70°, by angle:
2θ 12.73, I = 92, (0 0 2); 2θ 30.48, I = 219, (3 1 -1); 2θ 31.17, I = 153, (3 1 -2); 2θ 36.24, I = 1000, (0 2 3); 2θ 38.85, I = 206, (0 0 6); 2θ 54.16, I = 175, (6 0 -2); 2θ 55.90, I = 92, (6 0 0); 2θ 66.92, I = 96, (6 2 -5); 2θ 68.60, I = 140, (6 0 4); 2θ 68.70, I = 103, (6 0 -8)

Structural model:
```
data_Y2Hf4Ge3C3
_chemical_formula_sum 'Y8 Hf16 Ge12 C12'
_space_group_name_H-M_alt 'C 1 2/c 1'
_space_group_IT_number 15
_cell_length_a 10.157
_cell_length_b 5.867
_cell_length_c 14.307
_cell_angle_alpha 90.00
_cell_angle_beta 103.56
_cell_angle_gamma 90.00
loop_
_space_group_symop_operation_xyz
'x,y,z'
'-x,-y,-z'
'-x,y,-z+1/2'
'x,-y,z+1/2'
'x+1/2,y+1/2,z'
'-x+1/2,-y+1/2,-z'
'-x+1/2,y+1/2,-z+1/2'
'x+1/2,-y+1/2,z+1/2'
loop_
_atom_site_label
_atom_site_type_symbol
_atom_site_fract_x
_atom_site_fract_y
_atom_site_fract_z
Y1 Y 0.046 0.081 0.391
Hf1 Hf 0.111 0.410 0.585
Hf2 Hf 0.225 0.419 0.915
Ge1 Ge 0.000 0.477 0.750
Ge2 Ge 0.219 0.136 0.751
C1 C 0.087 0.260 0.000
C2 C 0.250 0.250 0.500
```